(1)
This entry pairs a crystal structure of Na3CaAl3Si3SO16 with its theoretical powder diffraction line list. Radiation: CuKα. Structure: a GGA-PBE-relaxed structure.
Lines closer than 0.1° are merged.

Main lines, by intensity (10 to 90 degrees two-theta):
2θ = 23.9°, I = 100
2θ = 24.1°, I = 24
2θ = 34.1°, I = 22
2θ = 42.1°, I = 18
2θ = 42.3°, I = 16
2θ = 42.0°, I = 14
2θ = 13.8°, I = 12
2θ = 36.8°, I = 11
2θ = 34.4°, I = 10
2θ = 19.5°, I = 8

Cell and atoms:
```
data_Na3CaAl3Si3SO16
_chemical_formula_sum 'Na6 Ca2 Al6 Si6 S2 O32'
_cell_length_a 9.097
_cell_length_b 9.097
_cell_length_c 9.097
_cell_angle_alpha 90.45
_cell_angle_beta 90.45
_cell_angle_gamma 90.45
_symmetry_space_group_name_H-M 'P 1'
_symmetry_Int_Tables_number 1
_symmetry_space_group_name_Hall 'P 1'
loop_
_atom_site_label
_atom_site_fract_x
_atom_site_fract_y
_atom_site_fract_z
_atom_site_occupancy
Na1 0.089 0.706 0.705 1
Na2 0.205 0.206 0.589 1
Na3 0.206 0.589 0.205 1
Na4 0.589 0.205 0.206 1
Na5 0.705 0.089 0.706 1
Na6 0.706 0.705 0.089 1
Ca1 0.089 0.089 0.089 1
Ca2 0.589 0.589 0.589 1
Al1 0.150 0.399 0.898 1
Al2 0.398 0.899 0.650 1
Al3 0.399 0.898 0.150 1
Al4 0.650 0.398 0.899 1
Al5 0.898 0.150 0.399 1
Al6 0.899 0.650 0.398 1
Si1 0.149 0.901 0.396 1
Si2 0.396 0.149 0.901 1
Si3 0.401 0.649 0.896 1
Si4 0.649 0.896 0.401 1
Si5 0.896 0.401 0.649 1
Si6 0.901 0.396 0.149 1
S1 0.411 0.411 0.411 1
S2 0.911 0.911 0.911 1
O1 0.035 0.452 0.753 1
O2 0.047 0.347 0.054 1
O3 0.047 0.764 0.449 1
O4 0.054 0.047 0.347 1
O5 0.072 0.887 0.884 1
O6 0.237 0.855 0.246 1
O7 0.246 0.237 0.855 1
O8 0.253 0.952 0.535 1
O9 0.264 0.547 0.949 1
O10 0.317 0.317 0.317 1
O11 0.347 0.054 0.047 1
O12 0.355 0.737 0.746 1
O13 0.384 0.387 0.572 1
O14 0.387 0.572 0.384 1
O15 0.449 0.047 0.764 1
O16 0.452 0.753 0.035 1
O17 0.535 0.253 0.952 1
O18 0.547 0.554 0.847 1
O19 0.547 0.949 0.264 1
O20 0.554 0.847 0.547 1
O21 0.572 0.384 0.387 1
O22 0.737 0.746 0.355 1
O23 0.746 0.355 0.737 1
O24 0.753 0.035 0.452 1
O25 0.764 0.449 0.047 1
O26 0.817 0.817 0.817 1
O27 0.847 0.547 0.554 1
O28 0.855 0.246 0.237 1
O29 0.884 0.072 0.887 1
O30 0.887 0.884 0.072 1
O31 0.949 0.264 0.547 1
O32 0.952 0.535 0.253 1
```



(2)
This entry pairs a crystal structure of Na3Ca3AlSb4 with its theoretical powder diffraction line list. Radiation: CuKα. Structure: a GGA-PBE-relaxed structure.
Lines closer than 0.1° are merged.

Main lines, by intensity (10 to 90 degrees two-theta):
2θ = 23.5°, I = 100
2θ = 31.1°, I = 62
2θ = 35.6°, I = 57
2θ = 43.0°, I = 38
2θ = 41.1°, I = 33
2θ = 10.1°, I = 25
2θ = 23.3°, I = 25
2θ = 32.9°, I = 20
2θ = 20.3°, I = 16
2θ = 29.5°, I = 16

Cell and atoms:
```
data_Na3Ca3AlSb4
_chemical_formula_sum 'Na6 Ca6 Al2 Sb8'
_cell_length_a 10.094
_cell_length_b 10.094
_cell_length_c 7.620
_cell_angle_alpha 90.00
_cell_angle_beta 90.00
_cell_angle_gamma 120.00
_symmetry_space_group_name_H-M 'P 1'
_symmetry_Int_Tables_number 1
_symmetry_space_group_name_Hall 'P 1'
loop_
_atom_site_label
_atom_site_fract_x
_atom_site_fract_y
_atom_site_fract_z
_atom_site_occupancy
Na1 0.143 0.285 0.000 1
Na2 0.143 0.857 0.000 1
Na3 0.285 0.143 0.500 1
Na4 0.715 0.857 0.000 1
Na5 0.857 0.143 0.500 1
Na6 0.857 0.715 0.500 1
Ca1 0.042 0.521 0.681 1
Ca2 0.479 0.521 0.681 1
Ca3 0.479 0.958 0.681 1
Ca4 0.521 0.042 0.181 1
Ca5 0.521 0.479 0.181 1
Ca6 0.958 0.479 0.181 1
Al1 0.333 0.667 0.307 1
Al2 0.667 0.333 0.807 1
Sb1 0.188 0.375 0.414 1
Sb2 0.188 0.812 0.414 1
Sb3 0.333 0.667 0.948 1
Sb4 0.375 0.188 0.914 1
Sb5 0.625 0.812 0.414 1
Sb6 0.667 0.333 0.448 1
Sb7 0.812 0.188 0.914 1
Sb8 0.812 0.625 0.914 1
```



(3)
This entry pairs a crystal structure of CaAlSi2Ni with its theoretical powder diffraction line list. Radiation: CuKα. Structure: a GGA-PBE-relaxed structure.
Lines closer than 0.1° are merged.

Main lines, by intensity (10 to 90 degrees two-theta):
2θ = 36.1°, I = 100
2θ = 45.3°, I = 46
2θ = 34.2°, I = 41
2θ = 47.5°, I = 25
2θ = 23.8°, I = 21
2θ = 49.4°, I = 19
2θ = 77.7°, I = 19
2θ = 58.0°, I = 16
2θ = 17.0°, I = 15
2θ = 66.0°, I = 14

Cell and atoms:
```
data_CaAlSi2Ni
_chemical_formula_sum 'Ca2 Al2 Si4 Ni2'
_cell_length_a 4.002
_cell_length_b 4.002
_cell_length_c 10.403
_cell_angle_alpha 90.00
_cell_angle_beta 90.00
_cell_angle_gamma 90.00
_symmetry_space_group_name_H-M 'P 1'
_symmetry_Int_Tables_number 1
_symmetry_space_group_name_Hall 'P 1'
loop_
_atom_site_label
_atom_site_fract_x
_atom_site_fract_y
_atom_site_fract_z
_atom_site_occupancy
Ca1 0.000 0.000 0.000 1
Ca2 0.500 0.500 0.500 1
Al1 0.000 0.500 0.250 1
Al2 0.500 0.000 0.750 1
Si1 0.000 0.000 0.385 1
Si2 0.000 0.000 0.615 1
Si3 0.500 0.500 0.115 1
Si4 0.500 0.500 0.885 1
Ni1 0.000 0.500 0.750 1
Ni2 0.500 0.000 0.250 1
```



(4)
This entry pairs a crystal structure of Ca2AlSi2Ni5 with its theoretical powder diffraction line list. Radiation: CuKα. Structure: a GGA-PBE-relaxed structure.
Lines closer than 0.1° are merged.

Main lines, by intensity (10 to 90 degrees two-theta):
2θ = 42.1°, I = 100
2θ = 37.0°, I = 72
2θ = 45.0°, I = 42
2θ = 38.2°, I = 33
2θ = 40.0°, I = 22
2θ = 40.3°, I = 18
2θ = 47.8°, I = 18
2θ = 76.0°, I = 16
2θ = 36.7°, I = 16
2θ = 63.6°, I = 14

Cell and atoms:
```
data_Ca2AlSi2Ni5
_chemical_formula_sum 'Ca4 Al2 Si4 Ni10'
_cell_length_a 10.008
_cell_length_b 10.008
_cell_length_c 2.924
_cell_angle_alpha 90.00
_cell_angle_beta 90.00
_cell_angle_gamma 90.00
_symmetry_space_group_name_H-M 'P 1'
_symmetry_Int_Tables_number 1
_symmetry_space_group_name_Hall 'P 1'
loop_
_atom_site_label
_atom_site_fract_x
_atom_site_fract_y
_atom_site_fract_z
_atom_site_occupancy
Ca1 0.174 0.326 0.000 1
Ca2 0.326 0.826 0.000 1
Ca3 0.674 0.174 0.000 1
Ca4 0.826 0.674 0.000 1
Al1 0.000 0.000 0.000 1
Al2 0.500 0.500 0.000 1
Si1 0.127 0.627 0.000 1
Si2 0.373 0.127 0.000 1
Si3 0.627 0.873 0.000 1
Si4 0.873 0.373 0.000 1
Ni1 0.000 0.500 0.500 1
Ni2 0.060 0.799 0.500 1
Ni3 0.201 0.060 0.500 1
Ni4 0.299 0.560 0.500 1
Ni5 0.440 0.299 0.500 1
Ni6 0.500 0.000 0.500 1
Ni7 0.560 0.701 0.500 1
Ni8 0.701 0.440 0.500 1
Ni9 0.799 0.940 0.500 1
Ni10 0.940 0.201 0.500 1
```



(5)
This entry pairs a crystal structure of CaAlVNi with its theoretical powder diffraction line list. Radiation: CuKα. Structure: a GGA-PBE-relaxed structure.
Lines closer than 0.1° are merged.

Main lines, by intensity (10 to 90 degrees two-theta):
2θ = 16.0°, I = 100
2θ = 37.0°, I = 97
2θ = 44.0°, I = 96
2θ = 25.6°, I = 53
2θ = 55.7°, I = 47
2θ = 32.4°, I = 41
2θ = 47.1°, I = 35
2θ = 67.4°, I = 23
2θ = 58.8°, I = 22
2θ = 50.9°, I = 20

Cell and atoms:
```
data_CaAlVNi
_chemical_formula_sum 'Ca3 Al3 V3 Ni3'
_cell_length_a 4.115
_cell_length_b 4.115
_cell_length_c 16.592
_cell_angle_alpha 90.00
_cell_angle_beta 90.00
_cell_angle_gamma 120.00
_symmetry_space_group_name_H-M 'P 1'
_symmetry_Int_Tables_number 1
_symmetry_space_group_name_Hall 'P 1'
loop_
_atom_site_label
_atom_site_fract_x
_atom_site_fract_y
_atom_site_fract_z
_atom_site_occupancy
Ca1 0.000 0.000 0.000 1
Ca2 0.333 0.667 0.667 1
Ca3 0.667 0.333 0.333 1
Al1 0.000 0.000 0.460 1
Al2 0.333 0.667 0.127 1
Al3 0.667 0.333 0.794 1
V1 0.000 0.000 0.193 1
V2 0.333 0.667 0.860 1
V3 0.667 0.333 0.526 1
Ni1 0.000 0.000 0.825 1
Ni2 0.333 0.667 0.492 1
Ni3 0.667 0.333 0.158 1
```



(6)
This entry pairs a crystal structure of Ca11Al14O32 with its theoretical powder diffraction line list. Radiation: CuKα. Structure: a GGA-PBE-relaxed structure.
Lines closer than 0.1° are merged.

Main lines, by intensity (10 to 90 degrees two-theta):
2θ = 18.0°, I = 100
2θ = 33.1°, I = 32
2θ = 36.4°, I = 22
2θ = 33.0°, I = 22
2θ = 57.0°, I = 13
2θ = 36.3°, I = 13
2θ = 33.2°, I = 11
2θ = 46.3°, I = 11
2θ = 10.3°, I = 10
2θ = 29.5°, I = 10

Cell and atoms:
```
data_Ca11Al14O32
_chemical_formula_sum 'Ca11 Al14 O32'
_cell_length_a 10.485
_cell_length_b 10.485
_cell_length_c 12.057
_cell_angle_alpha 125.09
_cell_angle_beta 125.09
_cell_angle_gamma 70.47
_symmetry_space_group_name_H-M 'P 1'
_symmetry_Int_Tables_number 1
_symmetry_space_group_name_Hall 'P 1'
loop_
_atom_site_label
_atom_site_fract_x
_atom_site_fract_y
_atom_site_fract_z
_atom_site_occupancy
Ca1 0.000 0.000 0.000 1
Ca2 0.023 0.752 0.136 1
Ca3 0.132 0.368 0.113 1
Ca4 0.136 0.369 0.637 1
Ca5 0.248 0.977 0.864 1
Ca6 0.272 0.728 0.500 1
Ca7 0.494 0.238 0.621 1
Ca8 0.631 0.864 0.363 1
Ca9 0.632 0.868 0.887 1
Ca10 0.747 0.253 0.500 1
Ca11 0.762 0.506 0.379 1
Al1 0.008 0.992 0.500 1
Al2 0.131 0.367 0.373 1
Al3 0.261 0.739 0.000 1
Al4 0.348 0.117 0.215 1
Al5 0.376 0.077 0.740 1
Al6 0.382 0.583 0.752 1
Al7 0.417 0.618 0.248 1
Al8 0.506 0.243 0.123 1
Al9 0.633 0.869 0.627 1
Al10 0.757 0.494 0.877 1
Al11 0.849 0.117 0.716 1
Al12 0.883 0.151 0.284 1
Al13 0.883 0.652 0.785 1
Al14 0.923 0.624 0.260 1
O1 0.005 0.805 0.344 1
O2 0.015 0.113 0.881 1
O3 0.068 0.730 0.954 1
O4 0.095 0.521 0.339 1
O5 0.175 0.210 0.228 1
O6 0.195 0.995 0.656 1
O7 0.250 0.614 0.248 1
O8 0.269 0.607 0.828 1
O9 0.270 0.932 0.046 1
O10 0.285 0.415 0.562 1
O11 0.349 0.213 0.692 1
O12 0.360 0.205 0.131 1
O13 0.386 0.750 0.752 1
O14 0.393 0.731 0.172 1
O15 0.470 0.101 0.931 1
O16 0.479 0.905 0.661 1
O17 0.501 0.435 0.175 1
O18 0.515 0.124 0.384 1
O19 0.565 0.499 0.825 1
O20 0.585 0.715 0.438 1
O21 0.678 0.027 0.641 1
O22 0.694 0.219 0.262 1
O23 0.781 0.306 0.738 1
O24 0.787 0.651 0.308 1
O25 0.790 0.825 0.772 1
O26 0.795 0.640 0.869 1
O27 0.862 0.027 0.544 1
O28 0.876 0.485 0.616 1
O29 0.887 0.985 0.119 1
O30 0.899 0.530 0.069 1
O31 0.973 0.138 0.456 1
O32 0.973 0.322 0.359 1
```



(7)
This entry pairs a crystal structure of CaAl2O4 with its theoretical powder diffraction line list. Radiation: CuKα. Structure: a GGA-PBE-relaxed structure.
Lines closer than 0.1° are merged.

Main lines, by intensity (10 to 90 degrees two-theta):
2θ = 28.9°, I = 100
2θ = 30.4°, I = 78
2θ = 35.5°, I = 56
2θ = 31.2°, I = 47
2θ = 34.7°, I = 39
2θ = 62.7°, I = 35
2θ = 37.7°, I = 26
2θ = 48.3°, I = 22
2θ = 32.0°, I = 21
2θ = 24.5°, I = 20

Cell and atoms:
```
data_CaAl2O4
_chemical_formula_sum 'Ca8 Al16 O32'
_cell_length_a 8.027
_cell_length_b 8.704
_cell_length_c 10.384
_cell_angle_alpha 90.00
_cell_angle_beta 95.02
_cell_angle_gamma 90.00
_symmetry_space_group_name_H-M 'P 1'
_symmetry_Int_Tables_number 1
_symmetry_space_group_name_Hall 'P 1'
loop_
_atom_site_label
_atom_site_fract_x
_atom_site_fract_y
_atom_site_fract_z
_atom_site_occupancy
Ca1 0.004 0.217 0.126 1
Ca2 0.004 0.283 0.626 1
Ca3 0.467 0.244 0.144 1
Ca4 0.467 0.256 0.644 1
Ca5 0.533 0.744 0.356 1
Ca6 0.533 0.756 0.856 1
Ca7 0.996 0.717 0.374 1
Ca8 0.996 0.783 0.874 1
Al1 0.179 0.557 0.138 1
Al2 0.179 0.943 0.638 1
Al3 0.225 0.059 0.368 1
Al4 0.225 0.441 0.868 1
Al5 0.293 0.607 0.616 1
Al6 0.293 0.893 0.116 1
Al7 0.304 0.096 0.890 1
Al8 0.304 0.404 0.390 1
Al9 0.696 0.596 0.610 1
Al10 0.696 0.904 0.110 1
Al11 0.707 0.107 0.884 1
Al12 0.707 0.393 0.384 1
Al13 0.775 0.559 0.132 1
Al14 0.775 0.941 0.632 1
Al15 0.821 0.057 0.362 1
Al16 0.821 0.443 0.862 1
O1 0.020 0.514 0.831 1
O2 0.020 0.986 0.331 1
O3 0.153 0.743 0.071 1
O4 0.153 0.757 0.571 1
O5 0.214 0.066 0.039 1
O6 0.214 0.434 0.539 1
O7 0.233 0.244 0.293 1
O8 0.233 0.256 0.793 1
O9 0.272 0.077 0.537 1
O10 0.272 0.423 0.037 1
O11 0.285 0.575 0.296 1
O12 0.285 0.925 0.796 1
O13 0.348 0.567 0.782 1
O14 0.348 0.933 0.282 1
O15 0.488 0.655 0.560 1
O16 0.488 0.845 0.060 1
O17 0.512 0.155 0.940 1
O18 0.512 0.345 0.440 1
O19 0.652 0.067 0.718 1
O20 0.652 0.433 0.218 1
O21 0.715 0.075 0.204 1
O22 0.715 0.425 0.704 1
O23 0.728 0.577 0.963 1
O24 0.728 0.923 0.463 1
O25 0.767 0.744 0.207 1
O26 0.767 0.756 0.707 1
O27 0.786 0.566 0.461 1
O28 0.786 0.934 0.961 1
O29 0.847 0.243 0.429 1
O30 0.847 0.257 0.929 1
O31 0.980 0.014 0.669 1
O32 0.980 0.486 0.169 1
```



(8)
This entry pairs a crystal structure of CaAl2O4 with its theoretical powder diffraction line list. Radiation: CuKα. Structure: a GGA-PBE-relaxed structure.
Lines closer than 0.1° are merged.

Main lines, by intensity (10 to 90 degrees two-theta):
2θ = 29.7°, I = 100
2θ = 35.2°, I = 49
2θ = 22.9°, I = 39
2θ = 36.9°, I = 28
2θ = 59.8°, I = 26
2θ = 46.7°, I = 25
2θ = 63.1°, I = 24
2θ = 38.7°, I = 14
2θ = 40.5°, I = 13
2θ = 53.3°, I = 12

Cell and atoms:
```
data_CaAl2O4
_chemical_formula_sum 'Ca6 Al12 O24'
_cell_length_a 8.838
_cell_length_b 8.838
_cell_length_c 8.210
_cell_angle_alpha 90.00
_cell_angle_beta 90.00
_cell_angle_gamma 120.00
_symmetry_space_group_name_H-M 'P 1'
_symmetry_Int_Tables_number 1
_symmetry_space_group_name_Hall 'P 1'
loop_
_atom_site_label
_atom_site_fract_x
_atom_site_fract_y
_atom_site_fract_z
_atom_site_occupancy
Ca1 0.000 0.000 0.000 1
Ca2 0.000 0.000 0.500 1
Ca3 0.333 0.667 0.014 1
Ca4 0.333 0.667 0.582 1
Ca5 0.667 0.333 0.082 1
Ca6 0.667 0.333 0.514 1
Al1 0.020 0.339 0.713 1
Al2 0.028 0.344 0.321 1
Al3 0.316 0.972 0.321 1
Al4 0.318 0.980 0.713 1
Al5 0.339 0.318 0.213 1
Al6 0.344 0.316 0.821 1
Al7 0.656 0.684 0.321 1
Al8 0.661 0.682 0.713 1
Al9 0.682 0.020 0.213 1
Al10 0.684 0.028 0.821 1
Al11 0.972 0.656 0.821 1
Al12 0.980 0.661 0.213 1
O1 0.098 0.552 0.796 1
O2 0.113 0.226 0.811 1
O3 0.113 0.887 0.811 1
O4 0.120 0.385 0.518 1
O5 0.208 0.791 0.187 1
O6 0.209 0.417 0.187 1
O7 0.226 0.113 0.311 1
O8 0.265 0.880 0.518 1
O9 0.385 0.265 0.018 1
O10 0.417 0.208 0.687 1
O11 0.448 0.546 0.796 1
O12 0.454 0.902 0.796 1
O13 0.546 0.098 0.296 1
O14 0.552 0.454 0.296 1
O15 0.583 0.792 0.187 1
O16 0.615 0.735 0.518 1
O17 0.735 0.120 0.018 1
O18 0.774 0.887 0.811 1
O19 0.791 0.583 0.687 1
O20 0.792 0.209 0.687 1
O21 0.880 0.615 0.018 1
O22 0.887 0.113 0.311 1
O23 0.887 0.774 0.311 1
O24 0.902 0.448 0.296 1
```